Record 1
Structure and computed XRD peak list of TcBi2O5 (a structure optimized by DFT (GGA-PBE); λ = 1.5418 Å (Cu Kα)).
Neutral-atom scattering factors, no anomalous dispersion.

Peak list (8 most intense, 2θ from 15° to 90°, by intensity)
index  Position (°2θ)  intensity
0 1 3  28.90  1000
2 0 3  28.08  880
2 1 0  32.28  505
2 1 6  47.94  447
2 2 3  55.98  264
0 0 6  34.46  246
0 2 0  47.37  181
0 1 9  58.36  153

Crystal structure
Unit cell a=8.024 b=3.838 c=15.615 alpha=90.00 beta=90.00 gamma=90.00
Space group Pnma (No. 62)
Unique sites:
Tc 0.088 0.250 0.069 [4 per cell]
Bi 0.126 0.250 0.420 [4 per cell]
Bi 0.180 0.250 0.750 [4 per cell]
O 0.062 0.750 0.049 [4 per cell]
O 0.074 0.750 0.329 [4 per cell]
O 0.132 0.750 0.853 [4 per cell]
O 0.203 0.750 0.501 [4 per cell]
O 0.218 0.250 0.176 [4 per cell]

Record 2
Structure and computed XRD peak list of TcBi3O7 (a structure optimized by DFT (GGA-PBE); λ = 1.5418 Å (Cu Kα)).
Neutral-atom scattering factors, no anomalous dispersion.

Peak list (8 most intense, 2θ from 15° to 90°, by intensity)
index  Position (°2θ)  intensity
2 2 0  27.97  1000
0 2 2  28.72  995
2 4 2  47.18  547
2 0 2  32.79  492
2 2 4  56.50  308
0 4 0  32.96  258
4 2 2  55.19  213
0 6 2  56.28  162

Crystal structure
Unit cell a=7.882 b=10.869 c=7.578 alpha=90.00 beta=90.00 gamma=90.00
Space group C222_1 (No. 20)
Unique sites:
Tc 0.003 0.000 0.000 [4 per cell]
Bi 0.044 0.500 0.000 [4 per cell]
Bi 0.236 0.238 0.244 [8 per cell]
O 0.000 0.050 0.250 [4 per cell]
O 0.000 0.362 0.250 [4 per cell]
O 0.000 0.364 0.750 [4 per cell]
O 0.171 0.128 0.964 [8 per cell]
O 0.198 0.118 0.533 [8 per cell]

Record 3
Structure and computed XRD peak list of Tc6BiO18 (a structure optimized by DFT (GGA-PBE); λ = 1.5418 Å (Cu Kα)).
Neutral-atom scattering factors, no anomalous dispersion.

Peak list (8 most intense, 2θ from 15° to 90°, by intensity)
index  Position (°2θ)  intensity
2 2 -4  30.22  1000
4 4 -2  50.39  438
2 6 -4  59.89  420
0 0 6  35.04  285
1 1 -5  28.91  278
2 6 8  82.00  170
8 0 2  84.61  139
4 4 4  62.85  120

Crystal structure
Unit cell a=10.247 b=10.248 c=16.185 alpha=90.00 beta=108.41 gamma=90.00
Space group C2/c (No. 15)
Unique sites:
Tc 0.000 0.000 0.000 [4 per cell]
Tc 0.081 0.252 0.167 [8 per cell]
Tc 0.170 0.499 0.832 [8 per cell]
Tc 0.250 0.250 0.000 [4 per cell]
Bi 0.000 0.500 0.000 [4 per cell]
O 0.000 0.200 0.250 [4 per cell]
O 0.000 0.449 0.750 [4 per cell]
O 0.016 0.125 0.419 [8 per cell]
O 0.068 0.379 0.391 [8 per cell]
O 0.112 0.128 0.966 [8 per cell]
O 0.127 0.378 0.919 [8 per cell]
O 0.160 0.332 0.079 [8 per cell]
O 0.168 0.061 0.581 [8 per cell]
O 0.177 0.377 0.248 [8 per cell]
O 0.225 0.128 0.197 [8 per cell]

Record 4
Structure and computed XRD peak list of TlTc2BiO8 (a structure optimized by DFT (GGA-PBE); λ = 1.5418 Å (Cu Kα)).
Neutral-atom scattering factors, no anomalous dispersion.

Peak list (8 most intense, 2θ from 15° to 90°, by intensity)
index  Position (°2θ)  intensity
1 0 4  23.39  1000
1 1 0  31.90  428
0 1 8  34.67  323
0 2 4  39.93  224
2 1 4  51.99  221
1 1 12  55.75  208
1 2 8  58.64  146
2 0 8  47.82  135

Crystal structure
Unit cell a=5.6108 b=5.6108 c=24.4544 alpha=90.00 beta=90.00 gamma=120.00
Space group R-3 (No. 148, hexagonal axes)
Unique sites:
Tl 0.0000 0.0000 0.0000 [3 per cell]
Tc 0.0000 0.0000 0.2487 [6 per cell]
Bi 0.0000 0.0000 0.5000 [3 per cell]
O 0.0000 0.0000 0.3202 [6 per cell]
O 0.0120 0.3075 0.2233 [18 per cell]

Record 5
Structure and computed XRD peak list of Bi2TeO5 (a structure optimized by DFT (GGA-PBE); λ = 1.5418 Å (Cu Kα)).
Neutral-atom scattering factors, no anomalous dispersion.

Peak list (8 most intense, 2θ from 15° to 90°, by intensity)
index  Position (°2θ)  intensity
3 0 0  27.71  1000
1 2 1  28.31  987
1 0 2  27.49  685
2 1 -2  30.03  578
0 2 1  25.93  453
2 2 3  50.56  447
1 2 -3  43.16  431
2 2 -1  30.62  387

Crystal structure
Unit cell a=9.811 b=7.772 c=7.487 alpha=90.00 beta=100.59 gamma=90.00
Space group P2_1/c (No. 14)
Unique sites:
Bi 0.024 0.087 0.214 [4 per cell]
Bi 0.369 0.170 0.029 [4 per cell]
Te 0.274 0.597 0.067 [4 per cell]
O 0.101 0.662 0.879 [4 per cell]
O 0.126 0.083 0.979 [4 per cell]
O 0.275 0.094 0.389 [4 per cell]
O 0.374 0.102 0.733 [4 per cell]
O 0.406 0.737 0.982 [4 per cell]

Record 6
Structure and computed XRD peak list of Bi2TeO5 (a structure optimized by DFT (GGA-PBE); λ = 1.5418 Å (Cu Kα)).
Neutral-atom scattering factors, no anomalous dispersion.

Peak list (8 most intense, 2θ from 15° to 90°, by intensity)
index  Position (°2θ)  intensity
2 3 1  27.18  1000
2 9 1  54.11  302
0 6 0  31.97  280
4 0 2  44.77  278
0 6 2  45.84  148
6 3 1  52.21  147
4 0 0  30.50  142
4 6 2  56.06  117

Crystal structure
Unit cell a=11.723 b=16.779 c=5.606 alpha=90.00 beta=90.00 gamma=90.00
Space group Aem2 (No. 39)
Unique sites:
Bi 0.108 0.085 0.000 [8 per cell]
Bi 0.116 0.250 0.467 [4 per cell]
Bi 0.370 0.250 0.984 [4 per cell]
Te 0.367 0.084 0.498 [8 per cell]
O 0.000 0.000 0.210 [4 per cell]
O 0.014 0.161 0.273 [8 per cell]
O 0.203 0.250 0.115 [4 per cell]
O 0.242 0.043 0.326 [8 per cell]
O 0.287 0.158 0.690 [8 per cell]
O 0.432 0.151 0.260 [8 per cell]

Record 7
Structure and computed XRD peak list of Bi3TeO6 (a structure optimized by DFT (GGA-PBE); λ = 1.5418 Å (Cu Kα)).
Neutral-atom scattering factors, no anomalous dispersion.

Peak list (8 most intense, 2θ from 15° to 90°, by intensity)
index  Position (°2θ)  intensity
1 1 1  28.97  1000
1 1 -3  30.08  929
0 2 0  27.52  549
2 0 -2  30.23  443
2 2 -2  41.34  401
3 1 -1  52.23  342
0 0 4  43.16  238
3 1 -5  54.29  224

Crystal structure
Unit cell a=5.920 b=6.483 c=10.028 alpha=90.00 beta=123.27 gamma=90.00
Space group P2_1/c (No. 14)
Unique sites:
Bi 0.000 0.000 0.000 [2 per cell]
Bi 0.228 0.034 0.744 [4 per cell]
Te 0.500 0.000 0.500 [2 per cell]
O 0.117 0.160 0.447 [4 per cell]
O 0.280 0.699 0.429 [4 per cell]
O 0.413 0.068 0.258 [4 per cell]